# 1
Starting from a structure optimized by DFT (PBE+U), the X-ray diffraction stick pattern of BaCaV2Ni3H2O10 was computed for Cu Kα (λ = 1.5418 Å).
Kinematic intensities with the Lorentz-polarization factor, no thermal factor.

The 6 most intense peaks (5° ≤ 2θ ≤ 70°), by intensity:
2θ/deg  I_rel
25.15  100
36.87  70
23.65  57
28.40  55
35.78  50
49.11  44

Structural model:
```
BaCaV2Ni3H2O10
1.0
5.6210 -2.9639 0.0000
5.6210 2.9639 0.0000
-4.8650 0.0000 7.5237
Ba Ca V Ni H O
1 1 2 3 2 10
Direct
0.0000 0.0000 0.0000 Ba
0.5000 0.5000 0.5000 Ca
0.4147 0.4147 0.1622 V
0.5853 0.5853 0.8378 V
0.0000 0.0000 0.5000 Ni
0.0000 0.5000 0.5000 Ni
0.5000 0.0000 0.5000 Ni
0.2586 0.2586 0.7392 H
0.7414 0.7414 0.2608 H
0.1995 0.1995 0.6048 O
0.2436 0.7207 0.7017 O
0.2793 0.7564 0.2983 O
0.2800 0.2800 0.1974 O
0.3605 0.3605 0.9449 O
0.6395 0.6395 0.0551 O
0.7200 0.7200 0.8026 O
0.7207 0.2436 0.7017 O
0.7564 0.2793 0.2983 O
0.8005 0.8005 0.3952 O
```

=====

# 2
Starting from a structure optimized by DFT (PBE+U), the X-ray diffraction stick pattern of BaCaV2Ni3H2O10 was computed for Cu Kα (λ = 1.5418 Å).
Kinematic intensities with the Lorentz-polarization factor, no thermal factor.

The 6 most intense peaks (5° ≤ 2θ ≤ 70°), by intensity:
2θ/deg  I_rel
28.50  100
29.27  84
33.60  83
29.47  81
37.54  70
34.09  58

Structural model:
```
BaCaV2Ni3H2O10
1.0
6.1101 0.0000 0.0000
3.0145 5.3355 0.0000
0.2635 2.5777 6.6576
Ba Ca V Ni H O
1 1 2 3 2 10
Direct
0.0000 0.0000 0.0000 Ba
0.3548 0.3803 0.1392 Ca
0.6135 0.7463 0.3133 V
0.6303 0.6851 0.7635 V
0.1256 0.2202 0.5310 Ni
0.1265 0.7150 0.5480 Ni
0.6309 0.2118 0.5522 Ni
0.3697 0.2015 0.8345 H
0.8461 0.2569 0.2491 H
0.2835 0.8243 0.7317 O
0.3166 0.3155 0.6857 O
0.3950 0.6142 0.3407 O
0.4606 0.0217 0.0613 O
0.4925 0.0137 0.4363 O
0.6878 0.4464 0.0265 O
0.7713 0.4291 0.6343 O
0.8499 0.8082 0.7538 O
0.9264 0.1202 0.3896 O
0.9574 0.6099 0.3046 O
```